This entry pairs a crystal structure of Co3Ni2N with its simulated powder X-ray diffraction pattern. Radiation: Cu Kα, 1.54184 Å. Structure: a structure optimized by DFT (GGA-PBE).

Atomic structure:
Lattice parameters (Å, degrees): 6.182 6.182 6.182 90.00 90.00 90.00
Atoms (fractional coordinates):
Co 0.046 0.125 0.796
Co 0.125 0.796 0.046
Co 0.204 0.546 0.375
Co 0.296 0.454 0.875
Co 0.375 0.204 0.546
Co 0.454 0.875 0.296
Co 0.546 0.375 0.204
Co 0.625 0.704 0.954
Co 0.704 0.954 0.625
Co 0.796 0.046 0.125
Co 0.875 0.296 0.454
Co 0.954 0.625 0.704
Ni 0.065 0.935 0.435
Ni 0.185 0.185 0.185
Ni 0.315 0.815 0.685
Ni 0.435 0.065 0.935
Ni 0.565 0.565 0.565
Ni 0.685 0.315 0.815
Ni 0.815 0.685 0.315
Ni 0.935 0.435 0.065
N 0.125 0.375 0.625
N 0.375 0.625 0.125
N 0.625 0.125 0.375
N 0.875 0.875 0.875

The 10 most intense peaks (2θ from 10° to 80°), in order of rising 2θ:
d_spacing, I/Imax
2.061, 100
1.955, 52
1.864, 27
1.652, 11
1.499, 1
1.457, 6
1.382, 5
1.318, 1
1.236, 1
1.212, 24

---

This entry pairs a crystal structure of TbTm2Sc5 with its simulated powder X-ray diffraction pattern. Radiation: Cu Kα, 1.54184 Å. Structure: a structure optimized by DFT (GGA-PBE).

Atomic structure:
Lattice parameters (Å, degrees): 7.954 6.828 6.321 74.34 55.74 49.92
Atoms (fractional coordinates):
Tb 0.000 0.000 0.000
Tm 0.424 0.914 0.086
Tm 0.914 0.424 0.576
Sc 0.006 0.501 0.994
Sc 0.416 0.416 0.084
Sc 0.499 0.499 0.501
Sc 0.501 0.006 0.499
Sc 0.916 0.916 0.584

The 10 most intense peaks (2θ from 10° to 80°), in order of rising 2θ:
d_spacing, I/Imax
5.913, 13
3.955, 26
2.956, 26
2.660, 24
2.584, 100
1.977, 16
1.707, 18
1.521, 19
1.437, 20
1.424, 15

---

This entry pairs a crystal structure of CsCuCl3 with its simulated powder X-ray diffraction pattern. Radiation: Cu Kα, 1.54184 Å. Structure: a structure optimized by DFT (GGA-PBE).

Atomic structure:
Lattice parameters (Å, degrees): 7.323 7.323 6.037 90.00 90.00 120.00
Atoms (fractional coordinates):
Cs 0.333 0.667 0.000
Cs 0.667 0.333 0.500
Cu 0.000 0.000 0.251
Cu 0.000 0.000 0.751
Cl 0.153 0.306 0.501
Cl 0.153 0.847 0.501
Cl 0.306 0.153 0.001
Cl 0.694 0.847 0.501
Cl 0.847 0.153 0.001
Cl 0.847 0.694 0.001

The 10 most intense peaks (2θ from 10° to 80°), in order of rising 2θ:
d_spacing, I/Imax
4.373, 55
3.661, 65
3.019, 14
2.807, 100
2.726, 25
2.186, 40
2.114, 14
1.877, 27
1.831, 28
1.699, 20

---

This entry pairs a crystal structure of Pr2SmDyEr with its simulated powder X-ray diffraction pattern. Radiation: Cu Kα, 1.54184 Å. Structure: a structure optimized by DFT (GGA-PBE).

Atomic structure:
Lattice parameters (Å, degrees): 7.209 7.209 7.321 90.00 90.00 107.79
Atoms (fractional coordinates):
Pr 0.194 0.194 0.000
Pr 0.194 0.194 0.500
Pr 0.806 0.806 0.000
Pr 0.806 0.806 0.500
Sm 0.223 0.777 0.750
Sm 0.777 0.223 0.250
Dy 0.236 0.764 0.250
Dy 0.764 0.236 0.750
Er 0.489 0.511 0.750
Er 0.511 0.489 0.250

The 10 most intense peaks (2θ from 10° to 80°), in order of rising 2θ:
d_spacing, I/Imax
4.248, 20
3.432, 46
3.230, 31
3.099, 49
2.912, 60
2.773, 100
2.752, 28
2.542, 46
2.288, 33
2.008, 69